(1)
# RuO3F
Theoretical PXRD pattern, Cu Ka. Input: a PBE-relaxed structure.

Principal peaks in the range 2θ = 10–80°, by angle:
| index | d [Å] | two_theta | I (rel.) |
| --- | --- | --- | --- |
| 1 0 1 | 4.152 | 21.4 | 87 |
| 1 1 0 | 4.045 | 22.0 | 100 |
| 0 2 1 | 2.897 | 30.9 | 34 |
| 0 1 2 | 2.419 | 37.2 | 25 |
| 3 0 0 | 2.335 | 38.6 | 18 |
| 1 2 2 | 1.847 | 49.3 | 20 |

Structure:
abc: 8.0900 8.0900 5.1548
angles: 90.00 90.00 120.00
Space group R3m (No. 160, hexagonal axes)
Unique sites:
Ru 0.0000 0.0000 0.0000 (multiplicity 3)
O 0.2168 0.4337 0.5622 (multiplicity 9)
F 0.0000 0.0000 0.3620 (multiplicity 3)

(2)
# SO2F2
Theoretical PXRD pattern, Cu Ka. Input: a PBE-relaxed structure.

Principal peaks in the range 2θ = 10–80°, by angle:
| index | d [Å] | two_theta | I (rel.) |
| --- | --- | --- | --- |
| 1 0 2 | 4.012 | 22.2 | 100 |
| 1 1 0 | 3.804 | 23.4 | 27 |
| 1 1 1 | 3.627 | 24.5 | 11 |
| 1 0 3 | 3.218 | 27.7 | 13 |
| 2 0 0 | 2.690 | 33.3 | 13 |
| 2 1 3 | 2.064 | 43.9 | 11 |

Structure:
abc: 5.3791 5.3791 12.0491
angles: 90.00 90.00 90.00
Space group P4_12_12 (No. 92)
Unique sites:
S 0.0796 0.0796 0.0000 (multiplicity 4)
O 0.0112 0.3204 0.9633 (multiplicity 8)
F 0.0054 0.1124 0.4094 (multiplicity 8)

(3)
# ScS2O6F2
Theoretical PXRD pattern, Cu Ka. Input: a PBE-relaxed structure.

Principal peaks in the range 2θ = 10–80°, by angle:
| index | d [Å] | two_theta | I (rel.) |
| --- | --- | --- | --- |
| 1 0 1 | 3.724 | 23.9 | 100 |
| 1 1 0 | 2.855 | 31.3 | 30 |
| 1 0 2 | 2.456 | 36.6 | 11 |
| 2 0 2 | 1.862 | 48.9 | 10 |
| 2 1 1 | 1.775 | 51.5 | 15 |
| 0 1 3 | 1.763 | 51.9 | 11 |

Structure:
abc: 5.7096 5.7096 5.6601
angles: 90.00 90.00 120.00
Space group P-3m1 (No. 164)
Unique sites:
Sc 0.0000 0.0000 0.0000 (multiplicity 1)
S 0.3333 0.6667 0.7437 (multiplicity 2)
O 0.1894 0.3788 0.7962 (multiplicity 6)
F 0.3333 0.6667 0.4614 (multiplicity 2)